For RbNiWO3F3, a GGA+U-relaxed structure gives the theoretical X-ray diffraction stick pattern in this record (Cu Kα, 1.54184 Å).
Lines closer than 0.1° are merged.

Main lines, most intense first (2θ from 10° to 90°):
Position (°2θ)  d [Å]  Rel. int.  hkl
14.66  6.041  100  1 1 -1
28.16  3.169  74  1 3 -1
27.62  3.229  70  1 1 1
28.68  3.112  62  3 1 -1
29.59  3.019  60  2 2 -2
29.39  3.039  47  2 2 0
16.85  5.262  31  0 2 0
49.73  1.833  30  4 4 -2

Cell and atoms:
```
data_RbNiWO3F3
_cell_length_a 10.2247
_cell_length_b 10.5232
_cell_length_c 7.3815
_cell_angle_alpha 90.00
_cell_angle_beta 133.26
_cell_angle_gamma 90.00
_space_group_name_H-M_alt 'C 1 2/c 1'
_space_group_IT_number 15
loop_
_space_group_symop_operation_xyz
'x,y,z'
'-x,-y,-z'
'-x,y,-z+1/2'
'x,-y,z+1/2'
'x+1/2,y+1/2,z'
'-x+1/2,-y+1/2,-z'
'-x+1/2,y+1/2,-z+1/2'
'x+1/2,-y+1/2,z+1/2'
loop_
_atom_site_label
_atom_site_type_symbol
_atom_site_fract_x
_atom_site_fract_y
_atom_site_fract_z
Rb1 Rb 0.0000 0.1396 0.2500
Ni1 Ni 0.0000 0.5000 0.0000
W1 W 0.2500 0.2500 0.0000
O1 O 0.0000 0.1958 0.7500
O2 O 0.1875 0.3784 0.1002
F1 F 0.0000 0.4185 0.2500
F2 F 0.2133 0.3668 0.7548
```